For PmZn2Cu4Si, a GGA-PBE-relaxed structure gives the simulated XRD peak list in this record (Cu Kα, 1.54184 Å).
Lines closer than 0.1° are merged.

Structure:
```
PmZn2Cu4Si
1.0
2.0688 1.1944 8.6015
-2.0688 1.1944 8.6015
0.0000 -2.3888 8.6015
Pm Zn Cu Si
1 2 4 1
Direct
0.0000 0.0000 0.0000
0.2463 0.2463 0.2463
0.7537 0.7537 0.7537
0.1358 0.1358 0.1358
0.4081 0.4081 0.4081
0.5919 0.5919 0.5919
0.8642 0.8642 0.8642
0.5000 0.5000 0.5000
```

Main lines, sorted by position (15° ≤ 2θ ≤ 90°):
2θ 25.1, rel. 11; 2θ 30.4, rel. 34; 2θ 34.9, rel. 53; 2θ 37.5, rel. 78; 2θ 42.0, rel. 11; 2θ 43.8, rel. 100; 2θ 57.2, rel. 12; 2θ 59.0, rel. 20; 2θ 62.3, rel. 21; 2θ 71.3, rel. 11; 2θ 76.2, rel. 18; 2θ 80.4, rel. 15